Computed powder diffraction line list of Li3NdPd4 for λ = 1.5418 Å (Cu Kα), from a cell relaxed with GGA-PBE.

Structure:
```
data_Li3NdPd4
_chemical_formula_sum 'Li3 Nd1 Pd4'
_cell_length_a 4.305
_cell_length_b 4.305
_cell_length_c 6.988
_cell_angle_alpha 90.00
_cell_angle_beta 90.00
_cell_angle_gamma 90.00
_space_group_name_H-M_alt 'P 1'
_space_group_IT_number 1
loop_
_space_group_symop_operation_xyz
'x,y,z'
loop_
_atom_site_label
_atom_site_type_symbol
_atom_site_fract_x
_atom_site_fract_y
_atom_site_fract_z
Li1 Li 0.000 0.000 0.000
Li2 Li 0.000 0.000 0.500
Li3 Li 0.500 0.500 0.000
Nd1 Nd 0.500 0.500 0.500
Pd1 Pd 0.000 0.500 0.219
Pd2 Pd 0.000 0.500 0.781
Pd3 Pd 0.500 0.000 0.219
Pd4 Pd 0.500 0.000 0.781
```

Largest 6 diffraction maxima, by angle, 10° ≤ 2θ ≤ 90°:
24.3°, I = 22, (1 0 1)
29.3°, I = 27, (1 1 0)
32.1°, I = 28, (1 1 1)
39.3°, I = 100, (1 1 2)
42.0°, I = 46, (2 0 0)
74.9°, I = 29, (3 1 2)